Diffraction record for BaGa3Os. The powder diffraction line list is simulated, not measured: it uses a cell relaxed with GGA-PBE and Cu Kα.
Kinematic intensities with the Lorentz-polarization factor, no thermal factor.

Atomic structure:
```
10
Lattice="3.919 -6.809 0.000 3.919 6.809 0.000 0.000 0.000 4.167" Properties=species:S:1:pos:R:3 pbc="T T T"
Ba 3.919 3.593 0.000
Ba 3.919 -3.593 0.000
Ga 0.000 0.000 2.084
Ga 2.385 1.419 2.084
Ga 2.385 -1.419 2.084
Ga 3.919 0.000 0.000
Ga 5.453 1.419 2.084
Ga 5.453 -1.419 2.084
Os 1.458 0.000 0.000
Os 6.381 0.000 0.000
```

Principal peaks in the range 2θ = 10–90°, sorted by position:
- 2θ = 13.0°, d = 6.807 Å, I 53
- 2θ = 21.3°, d = 4.167 Å, I 16
- 2θ = 26.2°, d = 3.400 Å, I 52
- 2θ = 34.0°, d = 2.635 Å, I 100
- 2θ = 34.9°, d = 2.571 Å, I 20
- 2θ = 39.8°, d = 2.265 Å, I 15
- 2θ = 41.3°, d = 2.185 Å, I 49
- 2θ = 43.4°, d = 2.084 Å, I 25
- 2θ = 45.6°, d = 1.991 Å, I 26
- 2θ = 51.4°, d = 1.777 Å, I 38
- 2θ = 63.7°, d = 1.461 Å, I 10
- 2θ = 73.7°, d = 1.286 Å, I 14